# 1
# Nd2Sn6Rh
Calculated X-ray diffraction stick pattern, λ = 1.5418 Å (Cu Kα). Input: a structure optimized by DFT (PBE).
No peak broadening, texture or thermal motion is included.

Cell and atoms:
a b c (Å): 9.1647 9.1647 4.0827
angles (deg): 90.00 90.00 133.69
Fractional positions:
Nd  0.2126  0.7874  0.0000
Nd  0.7874  0.2126  0.0000
Sn  0.1611  0.4421  0.5000
Sn  0.2353  0.2353  0.0000
Sn  0.4421  0.1611  0.5000
Sn  0.5579  0.8389  0.5000
Sn  0.7647  0.7647  0.0000
Sn  0.8389  0.5579  0.5000
Rh  0.5000  0.5000  0.5000

Largest 10 diffraction maxima, sorted by position, 2θ = 10–90°:
Position (°2θ)  I/Imax
25.6  42
30.5  89
31.9  23
34.9  100
36.8  23
39.5  21
39.6  44
40.8  36
44.4  35
61.9  28

=====

# 2
# NdSn12Rh4
Calculated X-ray diffraction stick pattern, λ = 1.5418 Å (Cu Kα). Input: a structure optimized by DFT (PBE).
No peak broadening, texture or thermal motion is included.

Cell and atoms:
a b c (Å): 8.1767 8.1767 8.1767
angles (deg): 109.47 109.47 109.47
Fractional positions:
Nd  0.0000  0.0000  0.0000
Sn  0.1617  0.5005  0.3388
Sn  0.1617  0.8230  0.6612
Sn  0.1770  0.3388  0.8383
Sn  0.3388  0.1617  0.5005
Sn  0.3388  0.8383  0.1770
Sn  0.5005  0.3388  0.1617
Sn  0.4995  0.6612  0.8383
Sn  0.6612  0.1617  0.8230
Sn  0.6612  0.8383  0.4995
Sn  0.8230  0.6612  0.1617
Sn  0.8383  0.1770  0.3388
Sn  0.8383  0.4995  0.6612
Rh  0.0000  0.0000  0.5000
Rh  0.0000  0.5000  0.0000
Rh  0.5000  0.0000  0.0000
Rh  0.5000  0.5000  0.5000

Largest 10 diffraction maxima, sorted by position, 2θ = 10–90°:
Position (°2θ)  I/Imax
29.9  100
35.6  48
42.8  23
47.2  35
49.2  27
56.9  15
67.3  20
76.9  9
87.7  19
89.2  10

=====

# 3
# TbNd2Sn3Rh4
Calculated X-ray diffraction stick pattern, λ = 1.5418 Å (Cu Kα). Input: a structure optimized by DFT (PBE).
No peak broadening, texture or thermal motion is included.

Cell and atoms:
a b c (Å): 4.4188 4.4188 11.4770
angles (deg): 90.00 90.00 90.00
Fractional positions:
Tb  0.0000  0.0000  0.0000
Nd  0.0000  0.5000  0.7311
Nd  0.5000  0.0000  0.2689
Sn  0.0000  0.5000  0.3742
Sn  0.5000  0.0000  0.6258
Sn  0.5000  0.5000  0.0000
Rh  0.0000  0.0000  0.5000
Rh  0.0000  0.5000  0.1472
Rh  0.5000  0.0000  0.8528
Rh  0.5000  0.5000  0.5000

Largest 10 diffraction maxima, sorted by position, 2θ = 10–90°:
Position (°2θ)  I/Imax
30.9  44
32.6  100
40.8  60
42.8  30
44.5  24
52.1  24
59.1  20
62.0  18
69.2  23
79.7  11

=====

# 4
# Nd2TlSn2Rh5
Calculated X-ray diffraction stick pattern, λ = 1.5418 Å (Cu Kα). Input: a structure optimized by DFT (PBE).
No peak broadening, texture or thermal motion is included.

Cell and atoms:
a b c (Å): 10.3293 10.3293 3.7806
angles (deg): 90.00 90.00 90.00
Fractional positions:
Nd  0.1728  0.3272  0.0000
Nd  0.3272  0.8272  0.0000
Nd  0.6728  0.1728  0.0000
Nd  0.8272  0.6728  0.0000
Tl  0.0000  0.0000  0.0000
Tl  0.5000  0.5000  0.0000
Sn  0.1253  0.6253  0.0000
Sn  0.3747  0.1253  0.0000
Sn  0.6253  0.8747  0.0000
Sn  0.8747  0.3747  0.0000
Rh  0.0000  0.5000  0.5000
Rh  0.0613  0.7940  0.5000
Rh  0.2060  0.0613  0.5000
Rh  0.2940  0.5613  0.5000
Rh  0.4387  0.2940  0.5000
Rh  0.5000  0.0000  0.5000
Rh  0.5613  0.7060  0.5000
Rh  0.7060  0.4387  0.5000
Rh  0.7940  0.9387  0.5000
Rh  0.9387  0.2060  0.5000

Largest 10 diffraction maxima, sorted by position, 2θ = 10–90°:
Position (°2θ)  I/Imax
27.3  11
34.1  25
35.8  29
36.3  100
36.9  10
39.0  16
39.5  27
48.1  19
61.4  12
63.6  10

=====

# 5
# Tb4NdRh5
Calculated X-ray diffraction stick pattern, λ = 1.5418 Å (Cu Kα). Input: a structure optimized by DFT (PBE).
No peak broadening, texture or thermal motion is included.

Cell and atoms:
a b c (Å): 3.4323 3.4323 17.6119
angles (deg): 90.00 90.00 90.00
Fractional positions:
Tb  0.0000  0.0000  0.0988
Tb  0.0000  0.0000  0.2966
Tb  0.0000  0.0000  0.7034
Tb  0.0000  0.0000  0.9012
Nd  0.0000  0.0000  0.5000
Rh  0.5000  0.5000  0.0000
Rh  0.5000  0.5000  0.1974
Rh  0.5000  0.5000  0.3932
Rh  0.5000  0.5000  0.6068
Rh  0.5000  0.5000  0.8026

Largest 10 diffraction maxima, sorted by position, 2θ = 10–90°:
Position (°2θ)  I/Imax
26.0  4
36.6  100
37.0  49
51.9  9
53.4  17
65.5  17
66.4  34
77.7  11
78.9  5
87.9  8

=====

# 6
# Tb2NdRh9
Calculated X-ray diffraction stick pattern, λ = 1.5418 Å (Cu Kα). Input: a structure optimized by DFT (PBE).
No peak broadening, texture or thermal motion is included.

Cell and atoms:
a b c (Å): 9.2963 9.2963 9.2963
angles (deg): 33.08 33.08 33.08
Fractional positions:
Tb  0.1392  0.1392  0.1392
Tb  0.8608  0.8608  0.8608
Nd  0.0000  0.0000  0.0000
Rh  0.0827  0.5830  0.5830
Rh  0.3330  0.3330  0.3330
Rh  0.4170  0.4170  0.9173
Rh  0.4170  0.9173  0.4170
Rh  0.5000  0.5000  0.5000
Rh  0.5830  0.0827  0.5830
Rh  0.5830  0.5830  0.0827
Rh  0.6670  0.6670  0.6670
Rh  0.9173  0.4170  0.4170

Largest 10 diffraction maxima, sorted by position, 2θ = 10–90°:
Position (°2θ)  I/Imax
30.7  27
33.5  28
33.9  36
39.5  37
39.8  100
41.1  19
42.6  19
43.0  29
64.6  24
71.3  25

=====

# 7
# Tb2NdRh2
Calculated X-ray diffraction stick pattern, λ = 1.5418 Å (Cu Kα). Input: a structure optimized by DFT (PBE).
No peak broadening, texture or thermal motion is included.

Cell and atoms:
a b c (Å): 13.3950 13.3950 4.7125
angles (deg): 90.00 90.00 163.44
Fractional positions:
Tb  0.0511  0.9489  0.7500
Tb  0.2650  0.7350  0.2500
Tb  0.7350  0.2650  0.7500
Tb  0.9489  0.0511  0.2500
Nd  0.3639  0.6361  0.7500
Nd  0.6361  0.3639  0.2500
Rh  0.1617  0.8383  0.7500
Rh  0.4681  0.5319  0.7500
Rh  0.5319  0.4681  0.2500
Rh  0.8383  0.1617  0.2500

Largest 10 diffraction maxima, sorted by position, 2θ = 10–90°:
Position (°2θ)  I/Imax
27.7  23
31.6  100
33.8  25
38.2  37
38.4  70
47.1  20
51.9  15
55.3  15
62.2  17
65.0  13

=====

# 8
# TbNdTlRh
Calculated X-ray diffraction stick pattern, λ = 1.5418 Å (Cu Kα). Input: a structure optimized by DFT (PBE).
No peak broadening, texture or thermal motion is included.

Cell and atoms:
a b c (Å): 3.5516 3.5516 7.9544
angles (deg): 90.00 90.00 90.00
Fractional positions:
Tb  0.0000  0.0000  0.0000
Nd  0.0000  0.0000  0.4247
Tl  0.5000  0.5000  0.7217
Rh  0.5000  0.5000  0.1963

Largest 10 diffraction maxima, sorted by position, 2θ = 10–90°:
Position (°2θ)  I/Imax
27.5  13
33.8  100
35.8  46
50.0  9
51.5  16
59.3  16
63.0  36
71.2  8
85.6  9
86.7  14